Theoretical powder diffraction line list of Al11TlO17 for λ = 1.5418 Å (Cu Kα), from a crystal structure in Alexandria, relaxed with GGA-PBE.
Lines closer than 0.1° are merged.

Crystal structure
Lattice parameters (Å, degrees): 5.6535 5.6535 23.0928 90.00 90.00 120.00
Space group P6_3/mmc (No. 194)
Asymmetric unit:
Al 0.0000 0.0000 0.0000
Al 0.1675 0.3351 0.1053
Al 0.3333 0.6667 0.5246
Al 0.3333 0.6667 0.6752
Tl 0.3333 0.6667 0.2500
O 0.0000 0.0000 0.1395
O 0.0034 0.5017 0.1436
O 0.1575 0.3150 0.5490
O 0.3333 0.6667 0.0549
O 0.3333 0.6667 0.7500

Top 10 peaks for 10° ≤ 2θ ≤ 90°, by angle:
2θ/deg	intensity	hkl
18.5	88	1 0 1
19.7	82	1 0 2
21.5	46	1 0 3
26.5	45	1 0 5
31.7	56	1 1 0
32.6	38	1 1 2
32.7	100	1 0 7
35.4	91	1 1 4
41.8	50	2 0 5
57.1	51	2 1 7